For Rb4CO4, the PBE geometry in the Materials Project gives the computed powder diffractogram in this record (copper Kα).

Peak list (10 most intense, 2θ from 5° to 70°, sorted by position)
2θ = 17.54°, intensity 54, hkl 0 1 1; 2θ = 27.28°, intensity 59, hkl 1 0 2; 2θ = 29.66°, intensity 52, hkl 1 2 0; 2θ = 32.77°, intensity 32, hkl 2 1 1; 2θ = 35.51°, intensity 100, hkl 0 2 2; 2θ = 36.46°, intensity 79, hkl 2 0 2; 2θ = 38.33°, intensity 64, hkl 2 2 0; 2θ = 41.67°, intensity 25, hkl 3 0 0; 2θ = 55.90°, intensity 34, hkl 3 2 2; 2θ = 63.12°, intensity 27, hkl 2 2 4

Unit cell a=6.498 b=6.797 c=7.564 alpha=90.00 beta=90.00 gamma=90.00
Space group Amm2 (No. 38)
Unique sites:
Rb 0.000 0.248 0.000
Rb 0.293 0.000 0.745
C 0.500 0.000 0.168
O 0.307 0.000 0.270
O 0.500 0.170 0.059

---

For Rb4CO4, the PBE geometry in the Materials Project gives the computed powder diffractogram in this record (copper Kα).

Peak list (10 most intense, 2θ from 5° to 70°, sorted by position)
2θ = 21.80°, intensity 100, hkl 0 2 0; 2θ = 22.13°, intensity 41, hkl 2 0 -1; 2θ = 23.14°, intensity 38, hkl 2 0 0; 2θ = 27.18°, intensity 57, hkl 0 0 2; 2θ = 28.60°, intensity 40, hkl 2 0 -2; 2θ = 31.26°, intensity 44, hkl 2 2 -1; 2θ = 32.00°, intensity 48, hkl 2 2 0; 2θ = 35.10°, intensity 77, hkl 0 2 2; 2θ = 36.25°, intensity 52, hkl 2 2 -2; 2θ = 38.19°, intensity 39, hkl 2 2 1

Unit cell a=8.257 b=8.155 c=7.049 alpha=90.00 beta=111.42 gamma=90.00
Space group Cm (No. 8)
Unique sites:
Rb 0.000 0.243 0.000
Rb 0.125 0.245 0.515
C 0.347 0.000 0.203
O 0.032 0.500 0.249
O 0.256 0.000 0.981
O 0.302 0.144 0.287

---

For RbCO2, the PBE geometry in the Materials Project gives the computed powder diffractogram in this record (copper Kα).

Peak list (10 most intense, 2θ from 5° to 70°, sorted by position)
2θ = 23.99°, intensity 33, hkl 1 0 -2; 2θ = 25.43°, intensity 25, hkl 1 1 -2; 2θ = 27.32°, intensity 62, hkl 0 2 2; 2θ = 27.79°, intensity 63, hkl 2 0 0; 2θ = 28.45°, intensity 53, hkl 1 1 2; 2θ = 28.73°, intensity 100, hkl 1 3 0; 2θ = 33.14°, intensity 35, hkl 2 2 -1; 2θ = 33.26°, intensity 27, hkl 0 3 2; 2θ = 33.58°, intensity 43, hkl 0 1 3; 2θ = 41.46°, intensity 23, hkl 2 2 2

Unit cell a=6.479 b=10.650 c=8.345 alpha=90.00 beta=97.66 gamma=90.00
Space group P2_1/c (No. 14)
Unique sites:
Rb 0.216 0.205 0.020
Rb 0.269 0.584 0.166
C 0.187 0.555 0.773
C 0.333 0.607 0.658
O 0.041 0.626 0.805
O 0.225 0.056 0.330
O 0.274 0.598 0.508
O 0.498 0.156 0.774

---

For Rb4CO4, the PBE geometry in the Materials Project gives the computed powder diffractogram in this record (copper Kα).

Peak list (10 most intense, 2θ from 5° to 70°, sorted by position)
2θ = 14.02°, intensity 62, hkl 1 1 0; 2θ = 19.87°, intensity 36, hkl 2 0 0; 2θ = 27.41°, intensity 100, hkl 2 1 1; 2θ = 31.66°, intensity 23, hkl 3 1 0; 2θ = 34.09°, intensity 27, hkl 3 0 1; 2θ = 35.04°, intensity 51, hkl 1 1 2; 2θ = 39.77°, intensity 16, hkl 3 2 1; 2θ = 42.94°, intensity 23, hkl 3 3 0; 2θ = 43.16°, intensity 27, hkl 2 2 2; 2θ = 44.84°, intensity 45, hkl 4 1 1

Unit cell a=8.936 b=8.936 c=5.603 alpha=90.00 beta=90.00 gamma=90.00
Space group I-42m (No. 121)
Unique sites:
Rb 0.174 0.174 0.156
C 0.000 0.000 0.500
O 0.094 0.094 0.645

---

For Rb4CO4, the PBE geometry in the Materials Project gives the computed powder diffractogram in this record (copper Kα).

Peak list (10 most intense, 2θ from 5° to 70°, sorted by position)
2θ = 27.21°, intensity 100, hkl 1 1 2; 2θ = 29.97°, intensity 46, hkl 2 0 0; 2θ = 34.43°, intensity 18, hkl 0 0 4; 2θ = 34.72°, intensity 38, hkl 2 1 1; 2θ = 40.71°, intensity 15, hkl 1 1 4; 2θ = 42.75°, intensity 12, hkl 2 1 3; 2θ = 42.90°, intensity 14, hkl 2 2 0; 2θ = 46.28°, intensity 23, hkl 2 0 4; 2θ = 51.54°, intensity 28, hkl 3 1 2; 2θ = 65.11°, intensity 12, hkl 4 1 1

Unit cell a=5.963 b=5.963 c=10.421 alpha=90.00 beta=90.00 gamma=90.00
Space group I-42m (No. 121)
Unique sites:
Rb 0.210 0.210 0.355
C 0.000 0.000 0.000
O 0.138 0.138 0.082